1.
For Pa2S2NO, a cell relaxed with GGA-PBE gives the theoretical PXRD pattern in this record (CuKα).
Peak positions follow from Bragg's law for the DFT cell and can differ from measured ones.

Peak list (6 most intense, 2θ = 15–90°, by intensity)
| d (Å) | I/Imax | hkl |
| --- | --- | --- |
| 3.324 | 1000 | 1 2 1 |
| 2.521 | 427 | 1 4 1 |
| 2.105 | 310 | 0 4 2 |
| 1.661 | 253 | 3 2 1 |
| 2.702 | 251 | 0 0 2 |
| 2.711 | 249 | 2 0 0 |

Structure:
abc: 5.4214 13.4031 5.4041
angles: 90.00 90.00 90.00
Space group Ibam (No. 72)
Symmetry-distinct sites (fractional):
Pa: 0.2394 0.0978 0.0000 x8
S: 0.2474 0.3172 0.0000 x8
N: 0.0000 0.0000 0.2500 x4
O: 0.0000 0.5000 0.2500 x4



2.
For Na3HgPb, a cell relaxed with GGA-PBE gives the theoretical PXRD pattern in this record (CuKα).
Peak positions follow from Bragg's law for the DFT cell and can differ from measured ones.

Peak list (6 most intense, 2θ = 15–90°, by intensity)
| d (Å) | I/Imax | hkl |
| --- | --- | --- |
| 2.807 | 1000 | 2 1 -1 |
| 4.174 | 983 | 0 1 1 |
| 2.757 | 937 | 1 1 2 |
| 5.151 | 786 | 1 0 1 |
| 2.494 | 366 | 0 2 0 |
| 2.848 | 342 | 1 1 -2 |

Structure:
abc: 7.3828 4.9885 7.6364
angles: 90.00 93.34 90.00
Space group P2_1/m (No. 11)
Symmetry-distinct sites (fractional):
Na: 0.1568 0.2500 0.0420 x2
Na: 0.2444 0.7500 0.7361 x2
Na: 0.3192 0.2500 0.4495 x2
Hg: 0.0437 0.7500 0.3390 x2
Pb: 0.4427 0.7500 0.1424 x2



3.
For Na3NbSn3S8, a cell relaxed with GGA-PBE gives the theoretical PXRD pattern in this record (CuKα).
Peak positions follow from Bragg's law for the DFT cell and can differ from measured ones.

Peak list (6 most intense, 2θ = 15–90°, by intensity)
| d (Å) | I/Imax | hkl |
| --- | --- | --- |
| 2.805 | 1000 | 4 0 0 |
| 3.316 | 335 | 4 0 -1 |
| 2.031 | 229 | 2 2 2 |
| 1.938 | 222 | 6 2 -2 |
| 2.199 | 219 | 2 2 -3 |
| 1.863 | 133 | 6 2 -3 |

Structure:
abc: 13.4075 7.7846 8.1118
angles: 90.00 123.25 90.00
Space group C2/m (No. 12)
Symmetry-distinct sites (fractional):
Na: 0.0000 0.0000 0.0000 x2
Na: 0.2500 0.2500 0.0000 x4
Nb: 0.0000 0.0000 0.5000 x2
Sn: 0.0000 0.5000 0.5000 x2
Sn: 0.2500 0.2500 0.5000 x4
S: 0.0098 0.2312 0.2959 x8
S: 0.2233 0.0000 0.7051 x4
S: 0.2472 0.5000 0.7374 x4



4.
For Ba3ZnIr2O9, a cell relaxed with GGA-PBE gives the theoretical PXRD pattern in this record (CuKα).
Peak positions follow from Bragg's law for the DFT cell and can differ from measured ones.

Peak list (6 most intense, 2θ = 15–90°, by intensity)
| d (Å) | I/Imax | hkl |
| --- | --- | --- |
| 2.922 | 1000 | 1 1 0 |
| 2.935 | 430 | 1 0 4 |
| 1.688 | 368 | 3 0 0 |
| 4.775 | 357 | 1 0 1 |
| 2.504 | 337 | 1 0 5 |
| 2.071 | 250 | 2 0 4 |

Structure:
abc: 5.8436 5.8436 14.4090
angles: 90.00 90.00 120.00
Space group P6_3/mmc (No. 194)
Symmetry-distinct sites (fractional):
Ba: 0.0000 0.0000 0.2500 x2
Ba: 0.3333 0.6667 0.0836 x4
Zn: 0.0000 0.0000 0.0000 x2
Ir: 0.3333 0.6667 0.6603 x4
O: 0.0210 0.5105 0.7500 x6
O: 0.1727 0.3453 0.5835 x12



5.
For MgTlSeO4, a cell relaxed with GGA-PBE gives the theoretical PXRD pattern in this record (CuKα).
Peak positions follow from Bragg's law for the DFT cell and can differ from measured ones.

Peak list (6 most intense, 2θ = 15–90°, by intensity)
| d (Å) | I/Imax | hkl |
| --- | --- | --- |
| 3.020 | 1000 | 2 2 0 |
| 4.271 | 849 | 2 0 0 |
| 1.744 | 404 | 4 2 2 |
| 1.910 | 362 | 4 2 0 |
| 2.466 | 282 | 2 2 2 |
| 2.576 | 281 | 3 1 1 |

Structure:
abc: 8.5428 8.5428 8.5428
angles: 90.00 90.00 90.00
Space group F-43m (No. 216)
Symmetry-distinct sites (fractional):
Mg: 0.0000 0.0000 0.0000 x4
Tl: 0.2500 0.2500 0.2500 x4
Se: 0.2500 0.2500 0.7500 x4
O: 0.1310 0.1310 0.8690 x16



6.
For Pr6GaCu5, a cell relaxed with GGA-PBE gives the theoretical PXRD pattern in this record (CuKα).
Peak positions follow from Bragg's law for the DFT cell and can differ from measured ones.

Peak list (6 most intense, 2θ = 15–90°, by intensity)
| d (Å) | I/Imax | hkl |
| --- | --- | --- |
| 2.576 | 1000 | 1 2 1 |
| 2.566 | 199 | 2 0 -1 |
| 1.490 | 142 | 2 4 -1 |
| 1.484 | 141 | 3 2 0 |
| 1.817 | 138 | 2 0 2 |
| 1.486 | 138 | 1 2 4 |

Structure:
abc: 5.1326 7.3127 8.1273
angles: 90.00 108.31 90.00
Space group P2/m (No. 10)
Symmetry-distinct sites (fractional):
Pr: 0.0000 0.2426 0.0000 x2
Pr: 0.3311 0.2496 0.6618 x4
Ga: 0.5000 0.5000 0.0000 x1
Cu: 0.1583 0.5000 0.3171 x2
Cu: 0.1649 0.0000 0.3323 x2
Cu: 0.5000 0.0000 0.0000 x1



7.
For BaSrRe2Bi, a cell relaxed with GGA-PBE gives the theoretical PXRD pattern in this record (CuKα).
Peak positions follow from Bragg's law for the DFT cell and can differ from measured ones.

Peak list (6 most intense, 2θ = 15–90°, by intensity)
| d (Å) | I/Imax | hkl |
| --- | --- | --- |
| 2.607 | 1000 | 2 0 0 |
| 1.986 | 910 | 2 0 2 |
| 3.159 | 773 | 1 1 1 |
| 3.064 | 770 | 0 0 2 |
| 5.214 | 542 | 1 0 0 |
| 1.580 | 442 | 2 2 2 |

Structure:
abc: 5.2138 5.2138 6.1285
angles: 90.00 90.00 90.00
Space group P4/mmm (No. 123)
Symmetry-distinct sites (fractional):
Ba: 0.0000 0.0000 0.0000 x1
Sr: 0.5000 0.5000 0.0000 x1
Re: 0.0000 0.5000 0.5000 x2
Bi: 0.0000 0.0000 0.5000 x1



8.
For HoEr5ThIn2, a cell relaxed with GGA-PBE gives the theoretical PXRD pattern in this record (CuKα).
Peak positions follow from Bragg's law for the DFT cell and can differ from measured ones.

Peak list (6 most intense, 2θ = 15–90°, by intensity)
| d (Å) | I/Imax | hkl |
| --- | --- | --- |
| 2.977 | 1000 | 2 0 4 |
| 2.672 | 313 | 2 2 0 |
| 2.994 | 281 | 2 1 3 |
| 2.417 | 243 | 0 0 8 |
| 1.793 | 195 | 2 2 8 |
| 2.545 | 188 | 2 1 5 |

Structure:
abc: 7.5586 7.5586 19.3354
angles: 90.00 90.00 90.00
Space group I4/mcm (No. 140)
Symmetry-distinct sites (fractional):
Ho: 0.0000 0.5000 0.2500 x4
Er: 0.0000 0.0000 0.0000 x4
Er: 0.2032 0.2968 0.1243 x16
Th: 0.0000 0.0000 0.2500 x4
In: 0.1242 0.3758 0.5000 x8



9.
For RbLi2Mg2F7, a cell relaxed with GGA-PBE gives the theoretical PXRD pattern in this record (CuKα).
Peak positions follow from Bragg's law for the DFT cell and can differ from measured ones.

Peak list (6 most intense, 2θ = 15–90°, by intensity)
| d (Å) | I/Imax | hkl |
| --- | --- | --- |
| 3.309 | 1000 | 1 0 3 |
| 2.385 | 860 | 1 1 4 |
| 2.033 | 809 | 2 0 0 |
| 1.472 | 454 | 2 0 8 |
| 2.135 | 438 | 0 0 8 |
| 2.615 | 372 | 1 0 5 |

Structure:
abc: 4.0659 4.0659 17.0791
angles: 90.00 90.00 90.00
Space group I4/mmm (No. 139)
Symmetry-distinct sites (fractional):
Rb: 0.0000 0.0000 0.0000 x2
Li: 0.0000 0.5000 0.2500 x4
Mg: 0.0000 0.0000 0.3811 x4
F: 0.0000 0.0000 0.2644 x4
F: 0.0000 0.0000 0.5000 x2
F: 0.0000 0.5000 0.1242 x8



10.
For TcH2Os2, a cell relaxed with GGA-PBE gives the theoretical PXRD pattern in this record (CuKα).
Peak positions follow from Bragg's law for the DFT cell and can differ from measured ones.

Peak list (6 most intense, 2θ = 15–90°, by intensity)
| d (Å) | I/Imax | hkl |
| --- | --- | --- |
| 2.333 | 1000 | 1 0 3 |
| 2.011 | 356 | 1 1 0 |
| 1.214 | 253 | 2 1 3 |
| 1.432 | 155 | 1 1 6 |
| 2.770 | 120 | 1 0 1 |
| 2.039 | 119 | 0 0 6 |

Structure:
abc: 2.8439 2.8439 12.2345
angles: 90.00 90.00 90.00
Space group I4/mmm (No. 139)
Symmetry-distinct sites (fractional):
Tc: 0.0000 0.0000 0.0000 x2
H: 0.0000 0.5000 0.2500 x4
Os: 0.0000 0.0000 0.3526 x4



11.
For TbTlSe2O8, a cell relaxed with GGA-PBE gives the theoretical PXRD pattern in this record (CuKα).
Peak positions follow from Bragg's law for the DFT cell and can differ from measured ones.

Peak list (6 most intense, 2θ = 15–90°, by intensity)
| d (Å) | I/Imax | hkl |
| --- | --- | --- |
| 3.264 | 1000 | 1 1 -2 |
| 3.211 | 773 | 1 1 2 |
| 2.736 | 642 | 3 1 0 |
| 4.935 | 609 | 1 1 0 |
| 4.649 | 505 | 2 0 0 |
| 2.912 | 397 | 0 2 0 |

Structure:
abc: 9.3019 5.8233 8.5855
angles: 90.00 91.75 90.00
Space group C2/m (No. 12)
Symmetry-distinct sites (fractional):
Tb: 0.0000 0.0000 0.0000 x2
Tl: 0.0000 0.0000 0.5000 x2
Se: 0.1396 0.5000 0.7805 x4
O: 0.0366 0.2665 0.8091 x8
O: 0.1999 0.5000 0.6027 x4
O: 0.2313 0.0000 0.0794 x4



12.
For Na2TlI3, a cell relaxed with GGA-PBE gives the theoretical PXRD pattern in this record (CuKα).
Peak positions follow from Bragg's law for the DFT cell and can differ from measured ones.

Peak list (6 most intense, 2θ = 15–90°, by intensity)
| d (Å) | I/Imax | hkl |
| --- | --- | --- |
| 3.363 | 1000 | 0 3 2 |
| 2.389 | 975 | 2 3 2 |
| 3.399 | 535 | 2 0 0 |
| 1.507 | 264 | 2 6 4 |
| 1.945 | 214 | 2 6 0 |
| 1.952 | 205 | 2 0 4 |

Structure:
abc: 6.7970 14.2279 9.5388
angles: 90.00 90.01 90.00
Space group P2_1/c (No. 14)
Symmetry-distinct sites (fractional):
Na: 0.2492 0.2414 0.3762 x4
Na: 0.2502 0.5856 0.3821 x4
Tl: 0.2507 0.5773 0.8728 x4
I: 0.2489 0.0916 0.6448 x4
I: 0.2497 0.0928 0.1085 x4
I: 0.2508 0.7452 0.1297 x4



Copy entry 6 word for word.
For Pr6GaCu5, a cell relaxed with GGA-PBE gives the theoretical PXRD pattern in this record (CuKα).
Peak positions follow from Bragg's law for the DFT cell and can differ from measured ones.

Peak list (6 most intense, 2θ = 15–90°, by intensity)
| d (Å) | I/Imax | hkl |
| --- | --- | --- |
| 2.576 | 1000 | 1 2 1 |
| 2.566 | 199 | 2 0 -1 |
| 1.490 | 142 | 2 4 -1 |
| 1.484 | 141 | 3 2 0 |
| 1.817 | 138 | 2 0 2 |
| 1.486 | 138 | 1 2 4 |

Structure:
abc: 5.1326 7.3127 8.1273
angles: 90.00 108.31 90.00
Space group P2/m (No. 10)
Symmetry-distinct sites (fractional):
Pr: 0.0000 0.2426 0.0000 x2
Pr: 0.3311 0.2496 0.6618 x4
Ga: 0.5000 0.5000 0.0000 x1
Cu: 0.1583 0.5000 0.3171 x2
Cu: 0.1649 0.0000 0.3323 x2
Cu: 0.5000 0.0000 0.0000 x1